1.
Starting from a structure optimized by DFT (PBE), the XRD peak list of Zr2InSbPt2 was computed for a wavelength of 1.5418 Å.
Intensities are scaled so that the largest is 1000.

Crystal structure
```
data_Zr2InSbPt2
_chemical_formula_sum 'Zr8 In4 Sb4 Pt8'
_cell_length_a 6.3927
_cell_length_b 6.3927
_cell_length_c 12.8453
_cell_angle_alpha 90.00
_cell_angle_beta 90.00
_cell_angle_gamma 90.00
_symmetry_space_group_name_H-M 'I -4 2 d'
_symmetry_Int_Tables_number 122
_symmetry_space_group_name_Hall 'I -4 2bw'
loop_
_atom_site_label
_atom_site_fract_x
_atom_site_fract_y
_atom_site_fract_z
Zr1 0.0000 0.0000 0.2456
In1 0.0000 0.0000 0.0000
Sb1 0.0000 0.0000 0.5000
Pt1 0.2445 0.2500 0.6250
```

Main lines, in order of falling intensity (2θ from 15° to 90°):
| 2theta | I/Imax | h k l |
| --- | --- | --- |
| 39.82 | 1000 | 2 2 0 |
| 24.07 | 565 | 1 1 2 |
| 72.36 | 225 | 4 2 4 |
| 47.13 | 191 | 3 1 2 |
| 72.17 | 113 | 2 2 8 |
| 57.68 | 112 | 4 0 0 |
| 46.96 | 97 | 1 1 6 |
| 63.27 | 80 | 3 1 6 |

2.
Starting from a structure optimized by DFT (PBE), the XRD peak list of ErCu3Te3 was computed for a wavelength of 1.5418 Å.
Intensities are scaled so that the largest is 1000.

Crystal structure
```
data_ErCu3Te3
_chemical_formula_sum 'Er4 Cu12 Te12'
_cell_length_a 12.7676
_cell_length_b 7.6240
_cell_length_c 6.9055
_cell_angle_alpha 90.00
_cell_angle_beta 90.00
_cell_angle_gamma 90.00
_symmetry_space_group_name_H-M 'P m n 21'
_symmetry_Int_Tables_number 31
loop_
_symmetry_equiv_pos_as_xyz
'x,y,z'
'-x+1/2,-y,z+1/2'
'-x,y,z'
'x+1/2,-y,z+1/2'
loop_
_atom_site_label
_atom_site_fract_x
_atom_site_fract_y
_atom_site_fract_z
Er1 0.1610 0.2485 0.0000
Cu1 0.0000 0.1209 0.6282
Cu2 0.0000 0.3736 0.3712
Cu3 0.1740 0.6166 0.8790
Cu4 0.1746 0.8813 0.1240
Te1 0.0000 0.0468 0.2480
Te2 0.0000 0.4480 0.7516
Te3 0.1622 0.5663 0.2666
Te4 0.1627 0.9320 0.7350
```

Main lines, in order of falling intensity (2θ from 15° to 90°):
| 2theta | I/Imax | h k l |
| --- | --- | --- |
| 41.38 | 1000 | 3 3 0 |
| 27.25 | 849 | 3 1 1 |
| 24.57 | 749 | 3 0 1 |
| 35.07 | 666 | 0 2 2 |
| 35.49 | 639 | 3 1 2 |
| 46.40 | 639 | 3 1 3 |
| 42.48 | 573 | 6 0 0 |
| 56.22 | 337 | 6 2 2 |

3.
Starting from a structure optimized by DFT (PBE), the XRD peak list of Dy2YAl3Si2Pt was computed for a wavelength of 1.5418 Å.
Intensities are scaled so that the largest is 1000.

Crystal structure
```
data_Dy2YAl3Si2Pt
_chemical_formula_sum 'Dy4 Y2 Al6 Si4 Pt2'
_cell_length_a 4.2207
_cell_length_b 11.9803
_cell_length_c 6.9180
_cell_angle_alpha 90.00
_cell_angle_beta 90.00
_cell_angle_gamma 90.00
_symmetry_space_group_name_H-M 'A m m 2'
_symmetry_Int_Tables_number 38
loop_
_symmetry_equiv_pos_as_xyz
'x,y,z'
'-x,-y,z'
'-x,y,z'
'x,-y,z'
'x,y+1/2,z+1/2'
'-x,-y+1/2,z+1/2'
'-x,y+1/2,z+1/2'
'x,-y+1/2,z+1/2'
loop_
_atom_site_label
_atom_site_fract_x
_atom_site_fract_y
_atom_site_fract_z
Dy1 0.0000 0.2086 0.0000
Y1 0.0000 0.0000 0.6265
Al1 0.5000 0.0000 0.9716
Al2 0.5000 0.1185 0.3271
Si1 0.5000 0.1668 0.7087
Pt1 0.0000 0.0000 0.2078
```

Main lines, in order of falling intensity (2θ from 15° to 90°):
| 2theta | I/Imax | h k l |
| --- | --- | --- |
| 36.79 | 1000 | 1 2 2 |
| 29.83 | 544 | 0 2 2 |
| 21.05 | 521 | 1 0 0 |
| 33.50 | 443 | 1 3 1 |
| 45.44 | 406 | 0 3 3 |
| 25.78 | 325 | 0 3 1 |
| 72.30 | 233 | 1 7 3 |
| 59.83 | 225 | 1 7 1 |

4.
Starting from a structure optimized by DFT (PBE), the XRD peak list of ZnCdAs4Pd2 was computed for a wavelength of 1.5418 Å.
Intensities are scaled so that the largest is 1000.

Crystal structure
```
data_ZnCdAs4Pd2
_chemical_formula_sum 'Zn2 Cd2 As8 Pd4'
_cell_length_a 5.7618
_cell_length_b 5.7618
_cell_length_c 11.6387
_cell_angle_alpha 90.00
_cell_angle_beta 90.00
_cell_angle_gamma 90.00
_symmetry_space_group_name_H-M 'I -4'
_symmetry_Int_Tables_number 82
loop_
_symmetry_equiv_pos_as_xyz
'x,y,z'
'y,-x,-z'
'-x,-y,z'
'-y,x,-z'
'x+1/2,y+1/2,z+1/2'
'y+1/2,-x+1/2,-z+1/2'
'-x+1/2,-y+1/2,z+1/2'
'-y+1/2,x+1/2,-z+1/2'
loop_
_atom_site_label
_atom_site_fract_x
_atom_site_fract_y
_atom_site_fract_z
Zn1 0.0000 0.0000 0.0000
Cd1 0.0000 0.5000 0.2500
As1 0.2213 0.2687 0.6157
Pd1 0.0000 0.0000 0.5000
Pd2 0.0000 0.5000 0.7500
```

Main lines, in order of falling intensity (2θ from 15° to 90°):
| 2theta | I/Imax | h k l |
| --- | --- | --- |
| 26.71 | 1000 | 1 1 2 |
| 44.24 | 473 | 2 0 4 |
| 52.64 | 280 | 1 3 2 |
| 44.47 | 229 | 2 2 0 |
| 52.23 | 147 | 1 1 6 |
| 81.75 | 130 | 2 4 4 |
| 70.97 | 104 | 3 1 6 |
| 81.26 | 69 | 2 2 8 |

5.
Starting from a structure optimized by DFT (PBE), the XRD peak list of Zr4Sn3 was computed for a wavelength of 1.5418 Å.
Intensities are scaled so that the largest is 1000.

Crystal structure
```
data_Zr4Sn3
_chemical_formula_sum 'Zr8 Sn6'
_cell_length_a 8.3554
_cell_length_b 8.3554
_cell_length_c 5.2902
_cell_angle_alpha 90.00
_cell_angle_beta 90.00
_cell_angle_gamma 120.00
_symmetry_space_group_name_H-M 'P 63/m'
_symmetry_Int_Tables_number 176
_symmetry_space_group_name_Hall '-P 6c'
loop_
_atom_site_label
_atom_site_fract_x
_atom_site_fract_y
_atom_site_fract_z
Zr1 0.0232 0.7870 0.2500
Zr2 0.3333 0.6667 0.2500
Sn1 0.0754 0.6222 0.7500
```

Main lines, in order of falling intensity (2θ from 15° to 90°):
| 2theta | I/Imax | h k l |
| --- | --- | --- |
| 37.00 | 1000 | 1 2 1 |
| 33.89 | 299 | 0 0 2 |
| 32.74 | 226 | 1 2 0 |
| 62.69 | 214 | 1 2 3 |
| 69.31 | 177 | 4 1 2 |
| 47.84 | 157 | 1 2 2 |
| 58.45 | 147 | 4 1 0 |
| 71.22 | 120 | 2 4 1 |

6.
Starting from a structure optimized by DFT (PBE), the XRD peak list of Dy2TmAl3CuAg2 was computed for a wavelength of 1.5418 Å.
Intensities are scaled so that the largest is 1000.

Crystal structure
```
data_Dy2TmAl3CuAg2
_chemical_formula_sum 'Dy4 Tm2 Al6 Cu2 Ag4'
_cell_length_a 4.0812
_cell_length_b 12.4701
_cell_length_c 7.2376
_cell_angle_alpha 90.00
_cell_angle_beta 90.00
_cell_angle_gamma 90.00
_symmetry_space_group_name_H-M 'A m m 2'
_symmetry_Int_Tables_number 38
loop_
_symmetry_equiv_pos_as_xyz
'x,y,z'
'-x,-y,z'
'-x,y,z'
'x,-y,z'
'x,y+1/2,z+1/2'
'-x,-y+1/2,z+1/2'
'-x,y+1/2,z+1/2'
'x,-y+1/2,z+1/2'
loop_
_atom_site_label
_atom_site_fract_x
_atom_site_fract_y
_atom_site_fract_z
Dy1 0.0000 0.2020 0.0000
Tm1 0.0000 0.0000 0.6038
Al1 0.5000 0.0000 0.9744
Al2 0.5000 0.1141 0.3164
Cu1 0.0000 0.0000 0.2039
Ag1 0.5000 0.1643 0.7018
```

Main lines, in order of falling intensity (2θ from 15° to 90°):
| 2theta | I/Imax | h k l |
| --- | --- | --- |
| 33.13 | 1000 | 1 3 1 |
| 36.20 | 684 | 1 4 0 |
| 24.67 | 351 | 0 0 2 |
| 44.39 | 255 | 2 0 0 |
| 43.37 | 173 | 0 3 3 |
| 38.13 | 149 | 0 4 2 |
| 44.26 | 137 | 1 1 3 |
| 21.78 | 107 | 1 0 0 |

7.
Starting from a structure optimized by DFT (PBE), the XRD peak list of Pr2NdCu2B2N3 was computed for a wavelength of 1.5418 Å.
Intensities are scaled so that the largest is 1000.

Crystal structure
```
data_Pr2NdCu2B2N3
_chemical_formula_sum 'Pr4 Nd2 Cu4 B4 N6'
_cell_length_a 3.6594
_cell_length_b 3.6594
_cell_length_c 20.8805
_cell_angle_alpha 90.00
_cell_angle_beta 90.00
_cell_angle_gamma 90.00
_symmetry_space_group_name_H-M 'I 4/m m m'
_symmetry_Int_Tables_number 139
_symmetry_space_group_name_Hall '-I 4 2'
loop_
_atom_site_label
_atom_site_fract_x
_atom_site_fract_y
_atom_site_fract_z
Pr1 0.0000 0.0000 0.1238
Nd1 0.0000 0.0000 0.5000
Cu1 0.0000 0.5000 0.2500
B1 0.0000 0.0000 0.3133
N1 0.0000 0.0000 0.0000
N2 0.0000 0.0000 0.3818
```

Main lines, in order of falling intensity (2θ from 15° to 90°):
| 2theta | I/Imax | h k l |
| --- | --- | --- |
| 27.54 | 1000 | 1 0 3 |
| 32.53 | 833 | 1 0 5 |
| 34.36 | 575 | 0 0 8 |
| 35.75 | 507 | 1 1 2 |
| 49.84 | 432 | 2 0 0 |
| 38.84 | 399 | 1 1 4 |
| 61.94 | 397 | 2 0 8 |
| 34.67 | 386 | 1 1 0 |

8.
Starting from a structure optimized by DFT (PBE), the XRD peak list of Nd3SmSe3O4 was computed for a wavelength of 1.5418 Å.
Intensities are scaled so that the largest is 1000.

Crystal structure
```
data_Nd3SmSe3O4
_chemical_formula_sum 'Nd6 Sm2 Se6 O8'
_cell_length_a 8.4477
_cell_length_b 3.9869
_cell_length_c 12.8325
_cell_angle_alpha 90.00
_cell_angle_beta 90.00
_cell_angle_gamma 90.00
_symmetry_space_group_name_H-M 'A m m 2'
_symmetry_Int_Tables_number 38
loop_
_symmetry_equiv_pos_as_xyz
'x,y,z'
'-x,-y,z'
'-x,y,z'
'x,-y,z'
'x,y+1/2,z+1/2'
'-x,-y+1/2,z+1/2'
'-x,y+1/2,z+1/2'
'x,-y+1/2,z+1/2'
loop_
_atom_site_label
_atom_site_fract_x
_atom_site_fract_y
_atom_site_fract_z
Nd1 0.0000 0.0000 0.0000
Nd2 0.2636 0.0000 0.6677
Sm1 0.5000 0.0000 0.9857
Se1 0.1491 0.0000 0.3399
Se2 0.5000 0.0000 0.2981
O1 0.0000 0.0000 0.6004
O2 0.2579 0.0000 0.0702
O3 0.5000 0.0000 0.5706
```

Main lines, in order of falling intensity (2θ from 15° to 90°):
| 2theta | I/Imax | h k l |
| --- | --- | --- |
| 30.65 | 1000 | 0 1 3 |
| 25.24 | 553 | 2 0 2 |
| 31.64 | 552 | 2 1 1 |
| 35.13 | 287 | 2 0 4 |
| 47.30 | 230 | 2 1 5 |
| 53.56 | 221 | 4 1 3 |
| 45.50 | 198 | 0 2 0 |
| 42.26 | 149 | 0 0 6 |